Entry 1:
The following is a computed powder diffraction line list of AcPr14Y. It was derived from a crystal structure in Alexandria, relaxed with PBE, using Cu Kα, 1.54184 Å.

Main lines, by angle (2θ = 15–90°):
2θ = 29.4°, I = 100, hkl 2 0 2
2θ = 34.0°, I = 17, hkl 0 0 4
2θ = 34.1°, I = 34, hkl 2 2 0
2θ = 48.9°, I = 37, hkl 4 0 0
2θ = 58.0°, I = 15, hkl 2 0 6
2θ = 58.2°, I = 29, hkl 4 2 2
2θ = 61.0°, I = 13, hkl 4 0 4
2θ = 79.3°, I = 12, hkl 4 2 6
2θ = 79.4°, I = 6, hkl 6 0 2
2θ = 81.9°, I = 11, hkl 6 2 0

Crystal structure
```
data_AcPr14Y
_chemical_formula_sum 'Ac1 Pr14 Y1'
_symmetry_space_group_name_H-M 'P 4/m m m'
_symmetry_Int_Tables_number 123
_symmetry_space_group_name_Hall '-P 4 2'
_cell_length_a 7.4378
_cell_length_b 7.4378
_cell_length_c 10.5498
_cell_angle_alpha 90.00
_cell_angle_beta 90.00
_cell_angle_gamma 90.00
loop_
_atom_site_label
_atom_site_fract_x
_atom_site_fract_y
_atom_site_fract_z
Ac1 0.0000 0.0000 0.0000
Pr1 0.0000 0.0000 0.5000
Pr2 0.0000 0.5000 0.0000
Pr3 0.0000 0.5000 0.5000
Pr4 0.2530 0.2530 0.2509
Pr5 0.5000 0.5000 0.5000
Y1 0.5000 0.5000 0.0000
```

***

Entry 2:
The following is a computed powder diffraction line list of CsZrHgI6. It was derived from a crystal structure in Alexandria, relaxed with PBE, using Cu Kα, 1.54184 Å.

Main lines, by angle (2θ = 15–90°):
2θ = 26.2°, I = 25, hkl 1 -1 2
2θ = 26.4°, I = 95, hkl 1 1 -2
2θ = 26.7°, I = 78, hkl 1 1 1
2θ = 27.2°, I = 100, hkl 2 -2 0
2θ = 27.4°, I = 39, hkl -1 1 2
2θ = 35.6°, I = 29, hkl 1 1 2
2θ = 37.2°, I = 41, hkl 1 -3 2
2θ = 39.3°, I = 26, hkl -3 1 2
2θ = 40.6°, I = 35, hkl 2 2 -1
2θ = 48.9°, I = 25, hkl 0 4 -1

Crystal structure
```
data_CsZrHgI6
_chemical_formula_sum 'Cs1 Zr1 Hg1 I6'
_symmetry_space_group_name_H-M 'P 1'
_symmetry_Int_Tables_number 1
_cell_length_a 7.8426
_cell_length_b 8.0256
_cell_length_c 8.0585
_cell_angle_alpha 101.91
_cell_angle_beta 96.62
_cell_angle_gamma 111.83
loop_
_symmetry_equiv_pos_as_xyz
'x,y,z'
loop_
_atom_site_label
_atom_site_fract_x
_atom_site_fract_y
_atom_site_fract_z
Cs1 0.0000 0.0000 0.0000
Zr1 0.1410 0.6470 0.4731
Hg1 0.6258 0.1701 0.4963
I1 0.3310 0.8129 0.2229
I2 0.3388 0.4117 0.4415
I3 0.4383 0.9385 0.7494
I4 0.8236 0.3651 0.2142
I5 0.9363 0.8809 0.4867
I6 0.9740 0.4935 0.7410
```

***

Entry 3:
The following is a computed powder diffraction line list of Pr4TlSb. It was derived from a crystal structure in Alexandria, relaxed with PBE, using Cu Kα, 1.54184 Å.

Main lines, by angle (2θ = 15–90°):
2θ = 26.8°, I = 21, hkl 2 0 0
2θ = 28.7°, I = 92, hkl 2 0 1
2θ = 30.1°, I = 42, hkl 0 0 3
2θ = 33.7°, I = 100, hkl 2 0 2
2θ = 35.8°, I = 25, hkl 1 1 3
2θ = 38.3°, I = 63, hkl 2 2 0
2θ = 49.5°, I = 41, hkl 2 2 3
2θ = 55.3°, I = 22, hkl 4 0 0
2θ = 63.5°, I = 19, hkl 4 2 1
2θ = 66.4°, I = 28, hkl 4 2 2

Crystal structure
```
data_Pr4TlSb
_chemical_formula_sum 'Pr8 Tl2 Sb2'
_symmetry_space_group_name_H-M 'P m m a'
_symmetry_Int_Tables_number 51
_cell_length_a 6.6420
_cell_length_b 6.6422
_cell_length_c 8.8959
_cell_angle_alpha 90.00
_cell_angle_beta 90.00
_cell_angle_gamma 90.00
loop_
_symmetry_equiv_pos_as_xyz
'x,y,z'
'-x,-y,-z'
'-x+1/2,-y,z'
'x+1/2,y,-z'
'x+1/2,-y,-z'
'-x+1/2,y,z'
'-x,y,-z'
'x,-y,z'
loop_
_atom_site_label
_atom_site_fract_x
_atom_site_fract_y
_atom_site_fract_z
Pr1 0.0000 0.2489 0.0000
Pr2 0.2500 0.0000 0.3485
Pr3 0.2500 0.5000 0.6452
Tl1 0.2500 0.5000 0.2806
Sb1 0.2500 0.0000 0.7179
```